This entry pairs a crystal structure of Sm3Np with its simulated X-ray powder pattern. Radiation: Cu Kα (weighted mean of Kα1 and Kα2). Structure: a crystal structure in Alexandria, relaxed with PBE.

Crystal structure
Cell lengths 7.1661, 7.1661, 5.7454 Å; angles 90.00, 90.00, 120.00 degrees
Space group P6_3/mmc (No. 194)
Unique sites:
Sm 0.1693 0.3386 0.2500 (multiplicity 6)
Np 0.3333 0.6667 0.7500 (multiplicity 2)

Main lines, most intense first (10° ≤ 2θ ≤ 80°):
two_theta, d [Å], Rel. int.
32.8, 2.730, 100
31.1, 2.873, 26
28.8, 3.103, 23
60.9, 1.520, 23
56.5, 1.630, 22
51.0, 1.792, 19
62.0, 1.498, 16
42.9, 2.108, 16
79.5, 1.206, 8
68.8, 1.365, 4